Calculated powder diffractogram of RbTiCrF6 for Cu Kα X-rays, from a DFT-relaxed cell (GGA+U, Alexandria).
Lines closer than 0.1° are merged.

Top 6 peaks for 15 to 90 degrees two-theta, sorted by position:
- d 3.788, intensity 28
- d 3.268, intensity 100
- d 3.226, intensity 30
- d 3.157, intensity 63
- d 3.023, intensity 25
- d 1.894, intensity 48

Cell: 7.585 7.585 7.585 Å, 122.49 118.35 89.32°
Fractional positions:
Rb 0.369 0.119 0.250
Rb 0.631 0.881 0.750
Ti 0.000 0.500 0.500
Ti 0.500 0.500 0.000
Cr 0.000 0.000 0.500
Cr 0.000 0.500 0.000
F 0.077 0.827 0.250
F 0.097 0.433 0.277
F 0.097 0.820 0.664
F 0.284 0.534 0.750
F 0.344 0.180 0.777
F 0.344 0.567 0.164
F 0.656 0.433 0.836
F 0.656 0.820 0.223
F 0.716 0.466 0.250
F 0.903 0.180 0.336
F 0.903 0.567 0.723
F 0.923 0.173 0.750